# 1
Starting from a GGA-PBE-relaxed structure, the X-ray powder pattern of La2MgTiO6 was computed for Cu Kα.

Peak list (10 most intense, 10° ≤ 2θ ≤ 90°, by angle)
- 22.4 deg, I = 54
- 31.6 deg, I = 23
- 31.9 deg, I = 100
- 32.1 deg, I = 24
- 39.1 deg, I = 19
- 39.5 deg, I = 21
- 45.6 deg, I = 27
- 45.8 deg, I = 16
- 57.0 deg, I = 23
- 66.7 deg, I = 14

```
20
Lattice="5.5845 0.0000 0.0000 0.0000 5.6593 0.0000 -5.5713 0.0000 7.9240" Properties=species:S:1:pos:R:3 pbc="T T T"
La -0.0437 0.2225 1.9862
La -2.8294 2.6071 5.9482
La 2.8425 3.0521 1.9758
La 0.0569 5.4368 5.9378
Mg 2.7923 0.0000 0.0000
Mg 0.0066 2.8296 3.9620
Ti -2.7857 0.0000 3.9620
Ti 0.0000 2.8296 0.0000
O -4.4392 1.2303 7.5615
O -1.6535 1.5994 3.5995
O -4.0014 3.9806 7.5825
O -1.2157 4.5084 3.6204
O -2.3164 0.1272 5.8840
O 0.4692 2.7025 1.9220
O -0.4561 2.9568 6.0020
O 2.3296 5.5321 2.0400
O 1.2289 1.1509 4.3036
O 4.0146 1.6787 0.3416
O 1.6667 4.0599 4.3245
O 4.4523 4.4290 0.3625
```

***

# 2
Starting from a GGA-PBE-relaxed structure, the X-ray powder pattern of Th2Ta2O9 was computed for Cu Kα.

Peak list (10 most intense, 10° ≤ 2θ ≤ 90°, by angle)
- 27.4 deg, I = 100
- 28.4 deg, I = 61
- 30.4 deg, I = 30
- 30.6 deg, I = 48
- 33.1 deg, I = 28
- 45.7 deg, I = 32
- 48.7 deg, I = 16
- 49.2 deg, I = 16
- 52.5 deg, I = 14
- 56.8 deg, I = 27

```
52
Lattice="5.8423 -7.8473 0.0000 5.8423 7.8473 0.0000 0.0000 0.0000 7.4735" Properties=species:S:1:pos:R:3 pbc="T T T"
Th 3.0633 2.0044 7.3792
Th 5.8423 4.6036 5.6051
Th 5.8423 4.1029 1.8684
Th 3.0633 -2.0044 0.0943
Th 8.6213 2.0044 3.8311
Th 5.8423 -4.1029 5.6051
Th 5.8423 -4.6036 1.8684
Th 8.6213 -2.0044 3.6425
Ta 0.1016 0.0000 3.7368
Ta 3.1845 1.9951 3.7261
Ta 3.1845 -1.9951 3.7475
Ta 5.8423 0.0847 1.8684
Ta 5.8423 -0.0847 5.6051
Ta 8.5001 1.9951 0.0107
Ta 8.5001 -1.9951 7.4628
Ta 11.5830 0.0000 0.0000
O 2.1292 2.5155 5.2575
O 5.8423 7.4245 5.6051
O 2.1256 2.3292 2.1147
O 5.5717 5.8962 3.5046
O 4.0322 3.7361 3.7383
O 6.1129 5.8962 0.2322
O 2.0587 0.0000 0.0000
O 2.1290 0.0000 3.7368
O 4.8906 3.3008 7.3231
O 4.5762 1.5574 2.2528
O 4.4362 1.2052 5.0746
O 2.1256 -2.3292 5.3588
O 2.1292 -2.5155 2.2160
O 6.7940 3.3008 3.8872
O 7.6525 3.7361 7.4720
O 5.0369 0.0000 0.0000
O 4.4362 -1.2052 2.3990
O 4.5762 -1.5574 5.2208
O 7.1085 1.5574 1.4840
O 7.2484 1.2052 6.1357
O 6.6477 0.0000 3.7368
O 4.0322 -3.7361 3.7353
O 4.8906 -3.3008 0.1505
O 9.5554 2.5155 5.9528
O 9.5590 2.3292 1.6220
O 7.2484 -1.2052 1.3378
O 7.1085 -1.5574 5.9895
O 6.7940 -3.3008 3.5863
O 9.5557 0.0000 0.0000
O 9.6259 0.0000 3.7368
O 5.5717 -5.8962 3.9689
O 7.6525 -3.7361 0.0015
O 6.1129 -5.8962 7.2414
O 9.5590 -2.3292 5.8515
O 5.8423 -7.4245 1.8684
O 9.5554 -2.5155 1.5207
```

***

# 3
Starting from a GGA-PBE-relaxed structure, the X-ray powder pattern of Mn2SbN3 was computed for Cu Kα.

Peak list (10 most intense, 10° ≤ 2θ ≤ 90°, by angle)
- 17.8 deg, I = 53
- 24.3 deg, I = 35
- 33.1 deg, I = 48
- 33.4 deg, I = 48
- 34.3 deg, I = 100
- 37.4 deg, I = 62
- 37.8 deg, I = 24
- 38.8 deg, I = 21
- 40.0 deg, I = 35
- 53.7 deg, I = 35

```
12
Lattice="4.5104 -2.9829 0.0000 4.5104 2.9829 0.0000 0.0000 0.0000 5.4197" Properties=species:S:1:pos:R:3 pbc="T T T"
Mn 1.9115 0.9570 0.0000
Mn 1.9115 -0.9570 2.7098
Mn 7.1093 0.9570 0.0000
Mn 7.1093 -0.9570 2.7098
Sb 4.5104 0.7525 5.0091
Sb 4.5104 -0.7525 2.2993
N 1.9706 0.5332 3.6421
N 4.5104 1.3742 2.8568
N 1.9706 -0.5332 0.9323
N 7.0501 0.5332 3.6421
N 4.5104 -1.3742 0.1469
N 7.0501 -0.5332 0.9323
```